# 1
The following is a theoretical PXRD pattern of CaWO2. It was derived from a crystal structure in the Materials Project, relaxed with GGA+U, using a wavelength of 1.5418 Å.
Lines closer than 0.1° are merged.

Principal peaks in the range 10° ≤ 2θ ≤ 80°, by angle:
2theta	d_spacing	intensity
10.49	8.430	100
18.02	4.924	25
19.30	4.600	35
29.44	3.034	30
29.91	2.987	34
32.59	2.748	31
33.52	2.673	30
34.84	2.575	33

Crystal structure
a b c (Å): 18.438 3.311 9.955
angles (deg): 90.00 113.88 90.00
Space group C2/m (No. 12)
Asymmetric unit:
Ca 0.011 0.000 0.228 (multiplicity 4)
Ca 0.158 0.500 0.690 (multiplicity 4)
W 0.155 0.500 0.996 (multiplicity 4)
W 0.189 0.000 0.355 (multiplicity 4)
O 0.106 0.500 0.315 (multiplicity 4)
O 0.125 0.000 0.828 (multiplicity 4)
O 0.196 0.000 0.144 (multiplicity 4)
O 0.221 0.000 0.594 (multiplicity 4)

---

# 2
The following is a theoretical PXRD pattern of Sr8Mn6Cu4S4O15. It was derived from a crystal structure in the Materials Project, relaxed with GGA+U, using a wavelength of 1.5418 Å.
Lines closer than 0.1° are merged.

Principal peaks in the range 10° ≤ 2θ ≤ 80°, by angle:
2theta	d_spacing	intensity
32.05	2.792	24
32.47	2.758	100
38.34	2.348	29
45.82	1.980	20
46.11	1.969	19
57.30	1.608	17
57.49	1.603	16
58.17	1.586	22

Crystal structure
a b c (Å): 5.585 34.680 5.585
angles (deg): 90.00 90.34 90.00
Space group C2/m (No. 12)
Asymmetric unit:
Sr 0.242 0.058 0.258 (multiplicity 8)
Sr 0.248 0.166 0.252 (multiplicity 8)
Mn 0.243 0.000 0.743 (multiplicity 4)
Mn 0.246 0.387 0.246 (multiplicity 8)
Cu 0.000 0.250 0.000 (multiplicity 4)
Cu 0.000 0.250 0.500 (multiplicity 4)
S 0.249 0.210 0.750 (multiplicity 8)
O 0.000 0.000 0.000 (multiplicity 2)
O 0.000 0.000 0.500 (multiplicity 2)
O 0.000 0.117 0.500 (multiplicity 4)
O 0.000 0.121 0.000 (multiplicity 4)
O 0.000 0.376 0.000 (multiplicity 4)
O 0.000 0.379 0.500 (multiplicity 4)
O 0.000 0.500 0.500 (multiplicity 2)
O 0.220 0.445 0.220 (multiplicity 8)

---

# 3
The following is a theoretical PXRD pattern of KMgInMo3O12. It was derived from a crystal structure in the Materials Project, relaxed with GGA+U, using a wavelength of 1.5418 Å.
Lines closer than 0.1° are merged.

Principal peaks in the range 10° ≤ 2θ ≤ 80°, by angle:
2theta	d_spacing	intensity
11.15	7.938	10
21.27	4.177	100
21.45	4.142	11
25.64	3.474	15
28.37	3.146	52
32.06	2.792	24
37.48	2.400	17
43.32	2.089	13

Crystal structure
a b c (Å): 16.763 9.665 9.991
angles (deg): 90.00 123.90 90.00
Space group C2 (No. 5)
Asymmetric unit:
K 0.248 0.000 0.245 (multiplicity 4)
Mg 0.106 0.010 0.818 (multiplicity 4)
In 0.106 0.511 0.320 (multiplicity 4)
Mo 0.000 0.731 0.500 (multiplicity 2)
Mo 0.000 0.801 0.000 (multiplicity 2)
Mo 0.142 0.150 0.501 (multiplicity 4)
Mo 0.143 0.365 0.997 (multiplicity 4)
O 0.038 0.076 0.330 (multiplicity 4)
O 0.040 0.442 0.820 (multiplicity 4)
O 0.072 0.834 0.674 (multiplicity 4)
O 0.073 0.695 0.177 (multiplicity 4)
O 0.078 0.907 0.975 (multiplicity 4)
O 0.081 0.620 0.482 (multiplicity 4)
O 0.140 0.395 0.173 (multiplicity 4)
O 0.144 0.117 0.677 (multiplicity 4)
O 0.144 0.336 0.481 (multiplicity 4)
O 0.145 0.183 0.971 (multiplicity 4)
O 0.246 0.076 0.517 (multiplicity 4)
O 0.248 0.441 0.023 (multiplicity 4)

---

# 4
The following is a theoretical PXRD pattern of MgMn4O4F4. It was derived from a crystal structure in the Materials Project, relaxed with GGA+U, using a wavelength of 1.5418 Å.
Lines closer than 0.1° are merged.

Principal peaks in the range 10° ≤ 2θ ≤ 80°, by angle:
2theta	d_spacing	intensity
24.71	3.603	76
25.34	3.515	66
26.02	3.425	68
30.47	2.934	83
30.64	2.918	93
38.54	2.336	100
42.93	2.107	69
57.97	1.591	71

Crystal structure
a b c (Å): 5.271 5.408 6.132
angles (deg): 90.39 106.75 92.45
Space group P1 (No. 1)
Asymmetric unit:
Mg 0.000 0.000 0.000 (multiplicity 1)
Mn 0.085 0.975 0.538 (multiplicity 1)
Mn 0.497 0.774 0.126 (multiplicity 1)
Mn 0.632 0.502 0.657 (multiplicity 1)
Mn 0.990 0.508 0.244 (multiplicity 1)
O 0.245 0.829 0.292 (multiplicity 1)
O 0.259 0.869 0.854 (multiplicity 1)
O 0.757 0.663 0.974 (multiplicity 1)
O 0.776 0.658 0.406 (multiplicity 1)
F 0.195 0.345 0.076 (multiplicity 1)
F 0.237 0.358 0.532 (multiplicity 1)
F 0.794 0.147 0.704 (multiplicity 1)
F 0.798 0.132 0.207 (multiplicity 1)

---

# 5
The following is a theoretical PXRD pattern of Mn3Fe2SnP6O24. It was derived from a crystal structure in the Materials Project, relaxed with GGA+U, using a wavelength of 1.5418 Å.
Lines closer than 0.1° are merged.

Principal peaks in the range 10° ≤ 2θ ≤ 80°, by angle:
2theta	d_spacing	intensity
20.45	4.342	100
24.12	3.689	91
32.88	2.724	73
35.82	2.507	44
47.15	1.928	33
49.41	1.845	28
56.05	1.641	32
62.52	1.486	22

Crystal structure
a b c (Å): 8.6839 8.6839 20.9854
angles (deg): 90.00 90.00 120.00
Space group R3 (No. 146, hexagonal axes)
Asymmetric unit:
Mn 0.0000 0.0000 0.0000 (multiplicity 3)
Mn 0.0000 0.0000 0.2126 (multiplicity 3)
Mn 0.0000 0.0000 0.4990 (multiplicity 3)
Fe 0.0000 0.0000 0.3565 (multiplicity 3)
Fe 0.0000 0.0000 0.8598 (multiplicity 3)
Sn 0.0000 0.0000 0.7130 (multiplicity 3)
P 0.0030 0.7110 0.1068 (multiplicity 9)
P 0.0366 0.3690 0.2708 (multiplicity 9)
O 0.0014 0.8064 0.1681 (multiplicity 9)
O 0.0022 0.8027 0.0450 (multiplicity 9)
O 0.0025 0.1994 0.5444 (multiplicity 9)
O 0.0173 0.1798 0.2779 (multiplicity 9)
O 0.0200 0.8334 0.7812 (multiplicity 9)
O 0.1306 0.4602 0.3335 (multiplicity 9)
O 0.1660 0.4847 0.5991 (multiplicity 9)
O 0.1690 0.6873 0.0999 (multiplicity 9)